1.
Simulated powder diffraction line list of TiCuNO4F7 for Cu Kα, 1.54184 Å, from a DFT-relaxed cell (GGA-PBE, the Materials Project).
Kinematic intensities with the Lorentz-polarization factor, no thermal factor.

Structure:
```
data_TiCuNO4F7
_chemical_formula_sum 'Ti2 Cu2 N2 O8 F14'
_cell_length_a 6.529
_cell_length_b 6.529
_cell_length_c 8.646
_cell_angle_alpha 90.00
_cell_angle_beta 90.00
_cell_angle_gamma 90.00
_symmetry_space_group_name_H-M 'P 1'
_symmetry_Int_Tables_number 1
_symmetry_space_group_name_Hall 'P 1'
loop_
_atom_site_label
_atom_site_fract_x
_atom_site_fract_y
_atom_site_fract_z
Ti1 0.250 0.250 0.175
Ti2 0.750 0.750 0.825
Cu1 0.250 0.250 0.661
Cu2 0.750 0.750 0.339
N1 0.250 0.750 0.000
N2 0.750 0.250 0.000
O1 0.020 0.694 0.322
O2 0.194 0.980 0.678
O3 0.306 0.520 0.678
O4 0.480 0.806 0.322
O5 0.520 0.194 0.678
O6 0.694 0.480 0.322
O7 0.806 0.020 0.322
O8 0.980 0.306 0.678
F1 0.014 0.624 0.824
F2 0.124 0.986 0.176
F3 0.250 0.250 0.393
F4 0.250 0.250 0.962
F5 0.250 0.750 0.500
F6 0.376 0.514 0.176
F7 0.486 0.876 0.824
F8 0.514 0.124 0.176
F9 0.624 0.486 0.824
F10 0.750 0.250 0.500
F11 0.750 0.750 0.038
F12 0.750 0.750 0.607
F13 0.876 0.014 0.824
F14 0.986 0.376 0.176
```

Peak list (8 most intense, 10° ≤ 2θ ≤ 90°, low angle first)
2θ = 19.22°, rel. 84; 2θ = 20.54°, rel. 26; 2θ = 24.70°, rel. 100; 2θ = 27.32°, rel. 62; 2θ = 39.02°, rel. 22; 2θ = 43.85°, rel. 44; 2θ = 44.13°, rel. 45; 2θ = 63.74°, rel. 24

2.
Simulated powder diffraction line list of Na2CuF4 for Cu Kα, 1.54184 Å, from a DFT-relaxed cell (GGA-PBE, the Materials Project).
Kinematic intensities with the Lorentz-polarization factor, no thermal factor.

Structure:
```
data_Na2CuF4
_chemical_formula_sum 'Na2 Cu1 F4'
_cell_length_a 6.500
_cell_length_b 6.500
_cell_length_c 6.500
_cell_angle_alpha 144.73
_cell_angle_beta 144.73
_cell_angle_gamma 50.74
_symmetry_space_group_name_H-M 'P 1'
_symmetry_Int_Tables_number 1
_symmetry_space_group_name_Hall 'P 1'
loop_
_atom_site_label
_atom_site_fract_x
_atom_site_fract_y
_atom_site_fract_z
Na1 0.169 0.169 0.000
Na2 0.831 0.831 0.000
Cu1 0.500 0.500 0.000
F1 0.000 0.500 0.500
F2 0.250 0.750 0.500
F3 0.500 0.000 0.500
F4 0.750 0.250 0.500
```

Peak list (8 most intense, 10° ≤ 2θ ≤ 90°, low angle first)
2θ = 15.08°, rel. 20; 2θ = 23.83°, rel. 30; 2θ = 30.44°, rel. 32; 2θ = 32.23°, rel. 100; 2θ = 46.09°, rel. 45; 2θ = 56.24°, rel. 18; 2θ = 57.35°, rel. 33; 2θ = 57.54°, rel. 16